[1]
Simulated powder diffraction line list
Compound: Pm7Rh3
Radiation: Cu Kα X-rays
Structure: a cell relaxed with PBE
Peak positions follow from Bragg's law for the DFT cell and can differ from measured ones.

Most intense lines, 2θ = 10–80°, sorted by position:
2θ = 30.01°, d 2.978, intensity 46
2θ = 30.62°, d 2.919, intensity 100
2θ = 33.99°, d 2.638, intensity 57
2θ = 35.03°, d 2.562, intensity 48
2θ = 35.75°, d 2.512, intensity 40
2θ = 53.67°, d 1.708, intensity 27

Atomic structure:
```
data_Pm7Rh3
_space_group_name_H-M_alt 'P 1'
_space_group_IT_number 1
_cell_length_a 10.048
_cell_length_b 10.048
_cell_length_c 6.339
_cell_angle_alpha 90.00
_cell_angle_beta 90.00
_cell_angle_gamma 120.00
loop_
_space_group_symop_operation_xyz
'x,y,z'
loop_
_atom_site_label
_atom_site_type_symbol
_atom_site_fract_x
_atom_site_fract_y
_atom_site_fract_z
Pm1 Pm 0.080 0.540 0.000
Pm2 Pm 0.124 0.249 0.305
Pm3 Pm 0.124 0.876 0.305
Pm4 Pm 0.249 0.124 0.805
Pm5 Pm 0.333 0.667 0.521
Pm6 Pm 0.460 0.540 0.000
Pm7 Pm 0.460 0.920 0.000
Pm8 Pm 0.540 0.080 0.500
Pm9 Pm 0.540 0.460 0.500
Pm10 Pm 0.667 0.333 0.021
Pm11 Pm 0.751 0.876 0.305
Pm12 Pm 0.876 0.124 0.805
Pm13 Pm 0.876 0.751 0.805
Pm14 Pm 0.920 0.460 0.500
Rh1 Rh 0.189 0.379 0.746
Rh2 Rh 0.189 0.811 0.746
Rh3 Rh 0.379 0.189 0.246
Rh4 Rh 0.621 0.811 0.746
Rh5 Rh 0.811 0.189 0.246
Rh6 Rh 0.811 0.621 0.246
```

=====

[2]
Simulated powder diffraction line list
Compound: Pm4Rh3
Radiation: Cu Kα X-rays
Structure: a cell relaxed with PBE
Peak positions follow from Bragg's law for the DFT cell and can differ from measured ones.

Most intense lines, 2θ = 10–80°, sorted by position:
2θ = 25.44°, d 3.501, intensity 22
2θ = 36.15°, d 2.485, intensity 100
2θ = 36.42°, d 2.467, intensity 98
2θ = 52.25°, d 1.751, intensity 35
2θ = 64.82°, d 1.438, intensity 18
2θ = 65.36°, d 1.428, intensity 35

Atomic structure:
```
data_Pm4Rh3
_space_group_name_H-M_alt 'P 1'
_space_group_IT_number 1
_cell_length_a 8.630
_cell_length_b 8.630
_cell_length_c 8.630
_cell_angle_alpha 33.22
_cell_angle_beta 33.22
_cell_angle_gamma 33.22
loop_
_space_group_symop_operation_xyz
'x,y,z'
loop_
_atom_site_label
_atom_site_type_symbol
_atom_site_fract_x
_atom_site_fract_y
_atom_site_fract_z
Pm1 Pm 0.125 0.125 0.125
Pm2 Pm 0.375 0.375 0.375
Pm3 Pm 0.625 0.625 0.625
Pm4 Pm 0.875 0.875 0.875
Rh1 Rh 0.000 0.000 0.000
Rh2 Rh 0.250 0.250 0.250
Rh3 Rh 0.750 0.750 0.750
```

=====

[3]
Simulated powder diffraction line list
Compound: TbPmRuRh
Radiation: Cu Kα X-rays
Structure: a cell relaxed with PBE
Peak positions follow from Bragg's law for the DFT cell and can differ from measured ones.

Most intense lines, 2θ = 10–80°, sorted by position:
2θ = 25.73°, d 3.463, intensity 4
2θ = 36.70°, d 2.448, intensity 100
2θ = 52.84°, d 1.733, intensity 12
2θ = 52.97°, d 1.729, intensity 6
2θ = 66.10°, d 1.414, intensity 35
2θ = 78.10°, d 1.224, intensity 7

Atomic structure:
```
data_TbPmRuRh
_space_group_name_H-M_alt 'P 1'
_space_group_IT_number 1
_cell_length_a 3.465
_cell_length_b 3.465
_cell_length_c 6.914
_cell_angle_alpha 90.00
_cell_angle_beta 90.00
_cell_angle_gamma 90.00
loop_
_space_group_symop_operation_xyz
'x,y,z'
loop_
_atom_site_label
_atom_site_type_symbol
_atom_site_fract_x
_atom_site_fract_y
_atom_site_fract_z
Tb1 Tb 0.000 0.000 0.000
Pm1 Pm 0.000 0.000 0.507
Ru1 Ru 0.500 0.500 0.759
Rh1 Rh 0.500 0.500 0.247
```

=====

[4]
Simulated powder diffraction line list
Compound: Pm3RhS2
Radiation: Cu Kα X-rays
Structure: a cell relaxed with PBE
Peak positions follow from Bragg's law for the DFT cell and can differ from measured ones.

Most intense lines, 2θ = 10–80°, sorted by position:
2θ = 26.20°, d 3.401, intensity 19
2θ = 27.20°, d 3.278, intensity 17
2θ = 30.94°, d 2.891, intensity 100
2θ = 42.97°, d 2.105, intensity 13
2θ = 44.34°, d 2.043, intensity 49
2θ = 53.92°, d 1.700, intensity 13

Atomic structure:
```
data_Pm3RhS2
_space_group_name_H-M_alt 'P 1'
_space_group_IT_number 1
_cell_length_a 7.223
_cell_length_b 7.223
_cell_length_c 7.223
_cell_angle_alpha 147.98
_cell_angle_beta 132.92
_cell_angle_gamma 58.07
loop_
_space_group_symop_operation_xyz
'x,y,z'
loop_
_atom_site_label
_atom_site_type_symbol
_atom_site_fract_x
_atom_site_fract_y
_atom_site_fract_z
Pm1 Pm 0.000 0.000 0.000
Pm2 Pm 0.338 0.338 0.000
Pm3 Pm 0.662 0.662 0.000
Rh1 Rh 0.500 0.000 0.500
S1 S 0.168 0.668 0.500
S2 S 0.832 0.332 0.500
```

=====

[5]
Simulated powder diffraction line list
Compound: Pm3Sb2Rh
Radiation: Cu Kα X-rays
Structure: a cell relaxed with PBE
Peak positions follow from Bragg's law for the DFT cell and can differ from measured ones.

Most intense lines, 2θ = 10–80°, sorted by position:
2θ = 28.74°, d 3.106, intensity 65
2θ = 29.75°, d 3.003, intensity 100
2θ = 33.19°, d 2.700, intensity 89
2θ = 36.35°, d 2.471, intensity 72
2θ = 38.76°, d 2.323, intensity 49
2θ = 40.18°, d 2.244, intensity 76

Atomic structure:
```
data_Pm3Sb2Rh
_space_group_name_H-M_alt 'P 1'
_space_group_IT_number 1
_cell_length_a 12.212
_cell_length_b 4.489
_cell_length_c 12.125
_cell_angle_alpha 90.00
_cell_angle_beta 90.00
_cell_angle_gamma 90.00
loop_
_space_group_symop_operation_xyz
'x,y,z'
loop_
_atom_site_label
_atom_site_type_symbol
_atom_site_fract_x
_atom_site_fract_y
_atom_site_fract_z
Pm1 Pm 0.053 0.250 0.129
Pm2 Pm 0.117 0.750 0.554
Pm3 Pm 0.230 0.250 0.801
Pm4 Pm 0.270 0.750 0.301
Pm5 Pm 0.383 0.250 0.054
Pm6 Pm 0.447 0.750 0.629
Pm7 Pm 0.553 0.250 0.371
Pm8 Pm 0.617 0.750 0.946
Pm9 Pm 0.730 0.250 0.699
Pm10 Pm 0.770 0.750 0.199
Pm11 Pm 0.883 0.250 0.446
Pm12 Pm 0.947 0.750 0.871
Sb1 Sb 0.007 0.750 0.308
Sb2 Sb 0.189 0.750 0.000
Sb3 Sb 0.311 0.250 0.500
Sb4 Sb 0.493 0.250 0.808
Sb5 Sb 0.507 0.750 0.192
Sb6 Sb 0.689 0.750 0.500
Sb7 Sb 0.811 0.250 0.000
Sb8 Sb 0.993 0.250 0.692
Rh1 Rh 0.126 0.250 0.368
Rh2 Rh 0.374 0.750 0.868
Rh3 Rh 0.626 0.250 0.132
Rh4 Rh 0.874 0.750 0.632
```

=====

[6]
Simulated powder diffraction line list
Compound: PmSbRh3
Radiation: Cu Kα X-rays
Structure: a cell relaxed with PBE
Peak positions follow from Bragg's law for the DFT cell and can differ from measured ones.

Most intense lines, 2θ = 10–80°, sorted by position:
2θ = 25.97°, d 3.431, intensity 51
2θ = 28.39°, d 3.143, intensity 49
2θ = 33.77°, d 2.654, intensity 57
2θ = 40.17°, d 2.245, intensity 100
2θ = 43.22°, d 2.093, intensity 80
2θ = 45.60°, d 1.989, intensity 80

Atomic structure:
```
data_PmSbRh3
_space_group_name_H-M_alt 'P 1'
_space_group_IT_number 1
_cell_length_a 6.985
_cell_length_b 6.985
_cell_length_c 6.985
_cell_angle_alpha 129.21
_cell_angle_beta 80.73
_cell_angle_gamma 121.94
loop_
_space_group_symop_operation_xyz
'x,y,z'
loop_
_atom_site_label
_atom_site_type_symbol
_atom_site_fract_x
_atom_site_fract_y
_atom_site_fract_z
Pm1 Pm 0.309 0.059 0.250
Pm2 Pm 0.691 0.941 0.750
Sb1 Sb 0.000 0.500 0.500
Sb2 Sb 0.500 0.500 0.000
Rh1 Rh 0.132 0.000 0.632
Rh2 Rh 0.132 0.500 0.132
Rh3 Rh 0.273 0.523 0.750
Rh4 Rh 0.727 0.477 0.250
Rh5 Rh 0.868 0.000 0.368
Rh6 Rh 0.868 0.500 0.868
```